Simulated X-ray powder pattern
Compound: Rb4GeO4
Radiation: a wavelength of 1.5418 Å
Structure: a structure optimized by DFT (PBE)
No peak broadening, texture or thermal motion is included.

Most intense lines, 2θ = 10–90°, sorted by position:
28.37°, intensity 100.0; 28.67°, intensity 53.4; 29.47°, intensity 94.3; 35.00°, intensity 37.0; 35.12°, intensity 51.2; 45.82°, intensity 14.0; 45.99°, intensity 12.2; 46.99°, intensity 15.1; 51.29°, intensity 20.3; 51.59°, intensity 14.2; 56.64°, intensity 13.1; 59.34°, intensity 14.6

Structural model:
Lattice parameters (Å, degrees): 11.1286 6.9386 11.0866 90.00 111.81 90.00
Sites, in units of the cell vectors:
Rb (0.0602, 0.0920, 0.1956)
Rb (0.0602, 0.4080, 0.6956)
Rb (0.1572, 0.6110, 0.0862)
Rb (0.1572, 0.8890, 0.5862)
Rb (0.3672, 0.6636, 0.8904)
Rb (0.3672, 0.8364, 0.3904)
Rb (0.4245, 0.1837, 0.7949)
Rb (0.4245, 0.3163, 0.2949)
Rb (0.5755, 0.6837, 0.7051)
Rb (0.5755, 0.8163, 0.2051)
Rb (0.6328, 0.1636, 0.6096)
Rb (0.6328, 0.3364, 0.1096)
Rb (0.8428, 0.1110, 0.4138)
Rb (0.8428, 0.3890, 0.9138)
Rb (0.9398, 0.5920, 0.3044)
Rb (0.9398, 0.9080, 0.8044)
Ge (0.2417, 0.1312, 0.9908)
Ge (0.2417, 0.3688, 0.4908)
Ge (0.7583, 0.6312, 0.5092)
Ge (0.7583, 0.8688, 0.0092)
O (0.0879, 0.2393, 0.9690)
O (0.0879, 0.2607, 0.4690)
O (0.2213, 0.5036, 0.3454)
O (0.2213, 0.9964, 0.8454)
O (0.2982, 0.5232, 0.6328)
O (0.2982, 0.9768, 0.1328)
O (0.3595, 0.1784, 0.5143)
O (0.3595, 0.3216, 0.0143)
O (0.6405, 0.6784, 0.9857)
O (0.6405, 0.8216, 0.4857)
O (0.7018, 0.0232, 0.8672)
O (0.7018, 0.4768, 0.3672)
O (0.7787, 0.0036, 0.1546)
O (0.7787, 0.4964, 0.6546)
O (0.9121, 0.7393, 0.5310)
O (0.9121, 0.7607, 0.0310)

Simulated X-ray powder pattern
Compound: Rb2GeS6O21
Radiation: a wavelength of 1.5418 Å
Structure: a structure optimized by DFT (PBE)
No peak broadening, texture or thermal motion is included.

Most intense lines, 2θ = 10–90°, sorted by position:
10.31°, intensity 16.4; 15.54°, intensity 16.4; 17.91°, intensity 18.6; 18.68°, intensity 39.0; 19.54°, intensity 28.2; 20.71°, intensity 13.4; 25.99°, intensity 100.0; 31.29°, intensity 22.7; 31.75°, intensity 29.9; 36.28°, intensity 14.6; 41.11°, intensity 18.6; 42.20°, intensity 16.7

Structural model:
Lattice parameters (Å, degrees): 9.9047 9.9047 11.4065 90.00 90.00 120.00
Sites, in units of the cell vectors:
Rb (0.3333, 0.6667, 0.3779)
Rb (0.3333, 0.6667, 0.9394)
Rb (0.6667, 0.3333, 0.0606)
Rb (0.6667, 0.3333, 0.6221)
Ge (0.0000, 0.0000, 0.2575)
Ge (0.0000, 0.0000, 0.7425)
S (0.0819, 0.3343, 0.1603)
S (0.1485, 0.8045, 0.6540)
S (0.1955, 0.3440, 0.6540)
S (0.2524, 0.9181, 0.1603)
S (0.3343, 0.2524, 0.8397)
S (0.3440, 0.1485, 0.3460)
S (0.6560, 0.8515, 0.6540)
S (0.6657, 0.7476, 0.1603)
S (0.7476, 0.0819, 0.8397)
S (0.8045, 0.6560, 0.3460)
S (0.8515, 0.1955, 0.3460)
S (0.9181, 0.6657, 0.8397)
O (0.0152, 0.6480, 0.9242)
O (0.0184, 0.3401, 0.2948)
O (0.0612, 0.1716, 0.1528)
O (0.0630, 0.1749, 0.6411)
O (0.1105, 0.9388, 0.1528)
O (0.1119, 0.9370, 0.6411)
O (0.1583, 0.7496, 0.5400)
O (0.1609, 0.4288, 0.7391)
O (0.1716, 0.1105, 0.8472)
O (0.1749, 0.1119, 0.3589)
O (0.2101, 0.7571, 0.1684)
O (0.2429, 0.4530, 0.1684)
O (0.2504, 0.4086, 0.5400)
O (0.2680, 0.8391, 0.7391)
O (0.3216, 0.9816, 0.2948)
O (0.3401, 0.3216, 0.7052)
O (0.3520, 0.3671, 0.9242)
O (0.3671, 0.0152, 0.0758)
O (0.4086, 0.1583, 0.4600)
O (0.4288, 0.2680, 0.2609)
O (0.4530, 0.2101, 0.8316)
O (0.5470, 0.7899, 0.1684)
O (0.5712, 0.7320, 0.7391)
O (0.5914, 0.8417, 0.5400)
O (0.6329, 0.9848, 0.9242)
O (0.6480, 0.6329, 0.0758)
O (0.6599, 0.6784, 0.2948)
O (0.6784, 0.0184, 0.7052)
O (0.7320, 0.1609, 0.2609)
O (0.7496, 0.5914, 0.4600)
O (0.7571, 0.5470, 0.8316)
O (0.7899, 0.2429, 0.8316)
O (0.8251, 0.8881, 0.6411)
O (0.8284, 0.8895, 0.1528)
O (0.8391, 0.5712, 0.2609)
O (0.8417, 0.2504, 0.4600)
O (0.8881, 0.0630, 0.3589)
O (0.8895, 0.0612, 0.8472)
O (0.9370, 0.8251, 0.3589)
O (0.9388, 0.8284, 0.8472)
O (0.9816, 0.6599, 0.7052)
O (0.9848, 0.3520, 0.0758)